(1)
Theoretical powder diffractogram
Compound: CsK22Na6
Radiation: Cu Kα (λ = 1.5418 Å)
Structure: the PBE geometry in Alexandria
Neutral-atom scattering factors, no anomalous dispersion.

Cell lengths 19.966, 19.966, 19.966 Å; angles 90.00, 90.00, 90.00 degrees
Space group Fm-3m (No. 225)
One atom of each set of equivalent atoms:
Cs1 0.000 0.000 0.000 x4
K1 0.000 0.174 0.174 x48
K2 0.119 0.119 0.381 x32
K3 0.250 0.250 0.250 x8
Na1 0.000 0.000 0.267 x24

Most intense lines, 15 to 90 degrees two-theta, low angle first:
Position (°2θ)	d [Å]	I_rel	hkl
21.81	4.075	27.1	4 2 2
23.15	3.842	100.0	3 3 3
25.23	3.529	41.5	4 4 0
26.41	3.375	9.4	5 3 1
26.79	3.328	21.5	6 0 0
38.25	2.353	26.1	6 6 0
39.07	2.305	20.0	5 5 5
44.46	2.038	26.3	8 4 4
45.19	2.007	11.6	9 3 3
60.65	1.527	17.2	9 9 3


(2)
Theoretical powder diffractogram
Compound: CsK3Na
Radiation: Cu Kα (λ = 1.5418 Å)
Structure: the PBE geometry in Alexandria
Neutral-atom scattering factors, no anomalous dispersion.

Cell lengths 13.515, 19.066, 5.753 Å; angles 90.00, 90.00, 90.00 degrees
Space group Cmmm (No. 65)
One atom of each set of equivalent atoms:
Cs1 0.000 0.207 0.000 x4
K1 0.000 0.000 0.500 x2
K2 0.000 0.500 0.000 x2
K3 0.195 0.369 0.500 x8
Na1 0.196 0.000 0.000 x4

Most intense lines, 15 to 90 degrees two-theta, low angle first:
Position (°2θ)	d [Å]	I_rel	hkl
16.08	5.513	22.3	2 2 0
20.27	4.381	66.6	2 0 1
21.85	4.067	71.5	1 3 1
22.34	3.980	55.9	2 2 1
22.83	3.895	32.1	2 4 0
24.24	3.672	100.0	3 3 0
28.84	3.096	25.4	3 3 1
31.09	2.876	25.3	0 0 2
39.81	2.265	33.1	3 3 2
41.82	2.160	33.8	3 7 1


(3)
Theoretical powder diffractogram
Compound: Cs4K19Na6
Radiation: Cu Kα (λ = 1.5418 Å)
Structure: the PBE geometry in Alexandria
Neutral-atom scattering factors, no anomalous dispersion.

Cell lengths 16.585, 16.585, 16.585 Å; angles 90.00, 90.00, 90.00 degrees
Space group I23 (No. 197)
One atom of each set of equivalent atoms:
Cs1 0.200 0.200 0.800 x8
K1 0.000 0.000 0.000 x2
K2 0.000 0.000 0.276 x12
K3 0.025 0.351 0.280 x24
Na1 0.000 0.401 0.500 x12

Most intense lines, 15 to 90 degrees two-theta, low angle first:
Position (°2θ)	d [Å]	I_rel	hkl
21.43	4.146	17.1	4 0 0
22.75	3.909	100.0	3 3 0
25.19	3.536	13.0	3 3 2
27.42	3.253	26.7	4 1 3
31.45	2.844	24.6	4 3 3
32.39	2.764	11.8	6 0 0
39.95	2.257	23.1	5 5 2
41.46	2.178	11.4	7 3 0
44.37	2.041	12.6	8 1 1
47.14	1.928	12.1	7 0 5